Entry 1:
# Ba3Pd2O
Theoretical powder XRD pattern, copper Kα. Input: a crystal structure in Alexandria, relaxed with PBE.
Intensities are scaled so that the largest is 100.

Top 12 peaks for 2θ from 5° to 70°, low angle first:
| 2θ/deg | I (rel.) |
| --- | --- |
| 27.76 | 59 |
| 28.66 | 21 |
| 29.03 | 100 |
| 35.72 | 20 |
| 39.60 | 15 |
| 40.60 | 73 |
| 43.36 | 19 |
| 49.05 | 14 |
| 52.27 | 20 |
| 57.37 | 16 |
| 60.33 | 16 |
| 65.52 | 17 |

Cell and atoms:
Cell lengths 7.8290, 7.8290, 8.3473 Å; angles 105.46, 105.46, 48.47 degrees
Fractional positions:
Ba 0.0439 0.9561 0.7500
Ba 0.3610 0.3618 0.4305
Ba 0.3618 0.3610 0.9305
Ba 0.6382 0.6390 0.0695
Ba 0.6390 0.6382 0.5695
Ba 0.9561 0.0439 0.2500
Pd 0.1719 0.1741 0.0863
Pd 0.1741 0.1719 0.5863
Pd 0.8259 0.8281 0.4137
Pd 0.8281 0.8259 0.9137
O 0.4514 0.5486 0.7500
O 0.5486 0.4514 0.2500



Entry 2:
# SrU4S8
Theoretical powder XRD pattern, copper Kα. Input: a crystal structure in Alexandria, relaxed with PBE.
Intensities are scaled so that the largest is 100.

Top 12 peaks for 2θ from 5° to 70°, low angle first:
| 2θ/deg | I (rel.) |
| --- | --- |
| 13.25 | 100 |
| 25.53 | 92 |
| 26.69 | 45 |
| 30.91 | 64 |
| 33.77 | 22 |
| 40.51 | 47 |
| 44.28 | 62 |
| 46.43 | 26 |
| 52.46 | 26 |
| 54.98 | 16 |
| 56.82 | 16 |
| 61.56 | 23 |

Cell and atoms:
Cell lengths 8.1817, 8.1817, 8.1817 Å; angles 60.00, 60.00, 60.00 degrees
Fractional positions:
Sr 0.0000 0.0000 0.0000
U 0.1342 0.6219 0.6219
U 0.6219 0.1342 0.6219
U 0.6219 0.6219 0.1342
U 0.6219 0.6219 0.6219
S 0.3883 0.3883 0.3883
S 0.3883 0.3883 0.8351
S 0.3883 0.8351 0.3883
S 0.4225 0.8592 0.8592
S 0.8351 0.3883 0.3883
S 0.8592 0.4225 0.8592
S 0.8592 0.8592 0.4225
S 0.8592 0.8592 0.8592



Entry 3:
# Ta2VH
Theoretical powder XRD pattern, copper Kα. Input: a crystal structure in Alexandria, relaxed with PBE.
Intensities are scaled so that the largest is 100.

Top 12 peaks for 2θ from 5° to 70°, low angle first:
| 2θ/deg | I (rel.) |
| --- | --- |
| 29.10 | 37 |
| 29.94 | 77 |
| 33.39 | 14 |
| 42.24 | 100 |
| 42.85 | 52 |
| 44.28 | 6 |
| 52.64 | 30 |
| 54.37 | 4 |
| 60.33 | 7 |
| 62.21 | 17 |
| 63.32 | 9 |
| 68.80 | 9 |

Cell and atoms:
Cell lengths 2.9843, 2.9843, 6.1371 Å; angles 90.00, 90.00, 90.00 degrees
Fractional positions:
Ta 0.0000 0.0000 0.2250
Ta 0.0000 0.0000 0.7750
V 0.5000 0.5000 0.5000
H 0.5000 0.5000 0.0000



Entry 4:
# Li2SnAu8
Theoretical powder XRD pattern, copper Kα. Input: a crystal structure in Alexandria, relaxed with PBE.
Intensities are scaled so that the largest is 100.

Top 12 peaks for 2θ from 5° to 70°, low angle first:
| 2θ/deg | I (rel.) |
| --- | --- |
| 21.18 | 10 |
| 24.83 | 10 |
| 25.47 | 11 |
| 29.39 | 11 |
| 36.50 | 10 |
| 37.49 | 99 |
| 37.68 | 100 |
| 43.35 | 33 |
| 43.58 | 34 |
| 44.09 | 29 |
| 63.15 | 22 |
| 63.76 | 29 |

Cell and atoms:
Cell lengths 7.7520, 7.7520, 6.5750 Å; angles 105.60, 105.60, 31.08 degrees
Fractional positions:
Li 0.2234 0.2234 0.1470
Li 0.7766 0.7766 0.8530
Sn 0.5000 0.5000 0.5000
Au 0.0486 0.0486 0.2181
Au 0.1471 0.1471 0.7042
Au 0.3165 0.3165 0.5891
Au 0.3974 0.3974 0.0420
Au 0.6026 0.6026 0.9580
Au 0.6835 0.6835 0.4109
Au 0.8529 0.8529 0.2958
Au 0.9514 0.9514 0.7819